1.
BiAu8: theoretical X-ray powder pattern (a wavelength of 1.5418 Å), based on a DFT-relaxed cell (GGA-PBE, OQMD).
Peak positions follow from Bragg's law for the DFT cell and can differ from measured ones.

Top 10 peaks for 5° ≤ 2θ ≤ 70°, in order of rising 2θ:
2theta  Rel. int.
8.3  46.2
34.7  32.5
36.8  100.0
37.5  85.6
38.2  60.6
39.1  36.4
41.4  29.6
43.8  54.5
44.2  28.6
64.0  28.4

Structure:
a b c (Å): 5.037 5.037 32.084
angles (deg): 90.27 90.27 48.46
Fractional positions:
Bi  0.057  0.057  0.246
Bi  0.943  0.943  0.754
Au  0.050  0.050  0.544
Au  0.145  0.145  0.338
Au  0.152  0.152  0.633
Au  0.246  0.246  0.725
Au  0.249  0.249  0.426
Au  0.349  0.349  0.514
Au  0.443  0.443  0.307
Au  0.452  0.452  0.602
Au  0.548  0.548  0.398
Au  0.557  0.557  0.693
Au  0.651  0.651  0.486
Au  0.751  0.751  0.574
Au  0.754  0.754  0.275
Au  0.848  0.848  0.367
Au  0.855  0.855  0.662
Au  0.950  0.950  0.456

2.
Ho2TmCu4Si2Ge2: theoretical X-ray powder pattern (a wavelength of 1.5418 Å), based on a DFT-relaxed cell (GGA-PBE, OQMD).
Peak positions follow from Bragg's law for the DFT cell and can differ from measured ones.

Top 10 peaks for 5° ≤ 2θ ≤ 70°, in order of rising 2θ:
2theta  Rel. int.
22.2  16.9
23.7  11.8
27.2  16.9
35.4  100.0
36.5  89.2
40.1  17.1
43.3  29.4
46.0  19.9
57.1  14.8
65.0  22.6

Structure:
a b c (Å): 7.894 7.894 7.894
angles (deg): 149.31 130.95 58.98
Fractional positions:
Ho  0.129  0.129  0.000
Ho  0.871  0.871  0.000
Tm  0.500  0.000  0.500
Cu  0.145  0.337  0.808
Cu  0.472  0.663  0.808
Cu  0.528  0.337  0.192
Cu  0.855  0.663  0.192
Si  0.185  0.500  0.685
Si  0.815  0.500  0.315
Ge  0.284  0.784  0.500
Ge  0.716  0.216  0.500